1.
Simulated XRD peak list of Zr5CuSb3 for copper Kα, from a structure optimized by DFT (GGA-PBE).
Lines closer than 0.1° are merged.

Top 10 peaks for 5 to 70 degrees two-theta, by angle:
2θ/deg	I_rel
30.59	15
35.25	76
36.01	84
37.14	100
46.43	22
52.69	24
55.81	11
57.43	18
65.48	13
68.23	13

Cell and atoms:
Unit cell a=8.6408 b=8.6408 c=5.8452 alpha=90.00 beta=90.00 gamma=120.00
Fractional positions:
Zr 0.0000 0.2653 0.2500
Zr 0.0000 0.7347 0.7500
Zr 0.2653 0.0000 0.2500
Zr 0.2653 0.2653 0.7500
Zr 0.3333 0.6667 0.0000
Zr 0.3333 0.6667 0.5000
Zr 0.6667 0.3333 0.0000
Zr 0.6667 0.3333 0.5000
Zr 0.7347 0.0000 0.7500
Zr 0.7347 0.7347 0.2500
Cu 0.0000 0.0000 0.0000
Cu 0.0000 0.0000 0.5000
Sb 0.0000 0.3848 0.7500
Sb 0.0000 0.6152 0.2500
Sb 0.3848 0.0000 0.7500
Sb 0.3848 0.3848 0.2500
Sb 0.6152 0.0000 0.2500
Sb 0.6152 0.6152 0.7500

---

2.
Simulated XRD peak list of BiPPbO5 for copper Kα, from a structure optimized by DFT (GGA-PBE).
Lines closer than 0.1° are merged.

Top 10 peaks for 5 to 70 degrees two-theta, by angle:
2θ/deg	I_rel
21.93	47
23.55	31
23.98	54
26.33	57
26.73	100
27.41	80
30.87	33
31.42	43
32.75	52
41.02	34

Cell and atoms:
Unit cell a=5.9139 b=7.1014 c=7.1062 alpha=107.15 beta=109.09 gamma=101.52
Fractional positions:
Bi 0.1170 0.2686 0.0576
Bi 0.8830 0.7314 0.9424
P 0.3210 0.3439 0.6417
P 0.6790 0.6561 0.3583
Pb 0.3326 0.8912 0.6779
Pb 0.6674 0.1088 0.3221
O 0.1347 0.2308 0.7180
O 0.1578 0.3111 0.4054
O 0.2417 0.0017 0.0271
O 0.4354 0.5834 0.7847
O 0.4623 0.7509 0.3427
O 0.5377 0.2491 0.6573
O 0.5646 0.4166 0.2153
O 0.7583 0.9983 0.9729
O 0.8422 0.6889 0.5946
O 0.8653 0.7692 0.2820

---

3.
Simulated XRD peak list of UTlHSe2O8 for copper Kα, from a structure optimized by DFT (GGA-PBE).
Lines closer than 0.1° are merged.

Top 10 peaks for 5 to 70 degrees two-theta, by angle:
2θ/deg	I_rel
14.11	51
16.50	41
19.45	32
22.20	75
22.79	63
24.84	50
26.11	79
27.73	48
28.87	100
33.34	32

Cell and atoms:
Unit cell a=8.5631 b=10.4028 c=12.7421 alpha=90.00 beta=127.14 gamma=90.00
Fractional positions:
U 0.1897 0.2092 0.3155
U 0.1897 0.2908 0.8155
U 0.8103 0.7093 0.1845
U 0.8103 0.7907 0.6845
Tl 0.2668 0.5517 0.5460
Tl 0.2668 0.9483 0.0460
Tl 0.7332 0.0517 0.9540
Tl 0.7332 0.4483 0.4540
H 0.4097 0.6455 0.1688
H 0.4097 0.8545 0.6688
H 0.5903 0.1455 0.3312
H 0.5903 0.3545 0.8312
Se 0.1920 0.5265 0.1853
Se 0.1920 0.9735 0.6853
Se 0.2903 0.6221 0.9052
Se 0.2903 0.8779 0.4052
Se 0.7097 0.1221 0.5948
Se 0.7097 0.3779 0.0948
Se 0.8080 0.0265 0.3147
Se 0.8080 0.4735 0.8147
O 0.0696 0.6750 0.8671
O 0.0696 0.8250 0.3671
O 0.1142 0.6046 0.2641
O 0.1142 0.8954 0.7641
O 0.1801 0.1982 0.9333
O 0.1801 0.3018 0.4333
O 0.1890 0.1066 0.1984
O 0.1890 0.3934 0.6984
O 0.2878 0.0333 0.4550
O 0.2878 0.4667 0.9550
O 0.3249 0.0991 0.7895
O 0.3249 0.4009 0.2895
O 0.3964 0.6313 0.2413
O 0.3964 0.8687 0.7413
O 0.4508 0.6969 0.0564
O 0.4508 0.8031 0.5564
O 0.5492 0.1969 0.4436
O 0.5492 0.3031 0.9436
O 0.6036 0.1313 0.2587
O 0.6036 0.3687 0.7587
O 0.6751 0.5991 0.7105
O 0.6751 0.9009 0.2105
O 0.7122 0.5333 0.0449
O 0.7122 0.9667 0.5450
O 0.8110 0.6066 0.3016
O 0.8110 0.8934 0.8016
O 0.8199 0.6982 0.5667
O 0.8199 0.8018 0.0667
O 0.8858 0.1046 0.2359
O 0.8858 0.3954 0.7359
O 0.9304 0.1750 0.6329
O 0.9304 0.3250 0.1329

---

4.
Simulated XRD peak list of HfFeGe2 for copper Kα, from a structure optimized by DFT (GGA-PBE).
Lines closer than 0.1° are merged.

Top 10 peaks for 5 to 70 degrees two-theta, by angle:
2θ/deg	I_rel
28.59	17
30.27	19
36.76	57
38.39	100
39.88	53
40.26	70
40.58	29
42.29	35
45.83	33
62.79	19

Cell and atoms:
Unit cell a=9.1138 b=10.1523 c=7.9192 alpha=90.00 beta=90.00 gamma=90.00
Fractional positions:
Hf 0.1647 0.1790 0.0000
Hf 0.1741 0.4510 0.2438
Hf 0.1741 0.4510 0.7562
Hf 0.3259 0.9510 0.2438
Hf 0.3259 0.9510 0.7562
Hf 0.3353 0.6790 0.0000
Hf 0.6647 0.3210 0.0000
Hf 0.6741 0.0490 0.2438
Hf 0.6741 0.0490 0.7562
Hf 0.8259 0.5490 0.2438
Hf 0.8259 0.5490 0.7562
Hf 0.8353 0.8210 0.0000
Fe 0.0000 0.0000 0.2451
Fe 0.0000 0.0000 0.7549
Fe 0.0919 0.7463 0.2494
Fe 0.0919 0.7463 0.7506
Fe 0.4081 0.2463 0.2494
Fe 0.4081 0.2463 0.7506
Fe 0.5000 0.5000 0.2451
Fe 0.5000 0.5000 0.7549
Fe 0.5919 0.7537 0.2494
Fe 0.5919 0.7537 0.7506
Fe 0.9081 0.2537 0.2494
Fe 0.9081 0.2537 0.7506
Ge 0.0405 0.6202 0.0000
Ge 0.0475 0.6212 0.5000
Ge 0.1242 0.9013 0.5000
Ge 0.1277 0.8978 0.0000
Ge 0.1585 0.1808 0.3434
Ge 0.1585 0.1808 0.6566
Ge 0.3415 0.6808 0.3434
Ge 0.3415 0.6808 0.6566
Ge 0.3723 0.3978 0.0000
Ge 0.3758 0.4013 0.5000
Ge 0.4525 0.1212 0.5000
Ge 0.4595 0.1202 0.0000
Ge 0.5405 0.8798 0.0000
Ge 0.5475 0.8788 0.5000
Ge 0.6242 0.5987 0.5000
Ge 0.6277 0.6022 0.0000
Ge 0.6585 0.3192 0.3434
Ge 0.6585 0.3192 0.6566
Ge 0.8415 0.8192 0.3434
Ge 0.8415 0.8192 0.6566
Ge 0.8723 0.1022 0.0000
Ge 0.8758 0.0987 0.5000
Ge 0.9525 0.3788 0.5000
Ge 0.9595 0.3798 0.0000

---

5.
Simulated XRD peak list of FeCl3 for copper Kα, from a structure optimized by DFT (GGA-PBE).
Lines closer than 0.1° are merged.

Top 10 peaks for 5 to 70 degrees two-theta, by angle:
2θ/deg	I_rel
12.02	100
14.84	56
16.50	96
20.17	35
24.65	39
27.31	49
29.94	31
30.32	35
30.46	27
33.34	24

Cell and atoms:
Unit cell a=3.7550 b=7.5916 c=8.8773 alpha=95.03 beta=94.09 gamma=102.74
Fractional positions:
Fe 0.0000 0.0000 0.0000
Fe 0.1975 0.2963 0.5197
Cl 0.0096 0.9646 0.7588
Cl 0.1136 0.0307 0.3958
Cl 0.2580 0.5001 0.3688
Cl 0.5946 0.1786 0.0736
Cl 0.7458 0.3541 0.6738
Cl 0.7610 0.7383 0.0639

---

6.
Simulated XRD peak list of Pb3Au for copper Kα, from a structure optimized by DFT (GGA-PBE).
Lines closer than 0.1° are merged.

Top 10 peaks for 5 to 70 degrees two-theta, by angle:
2θ/deg	I_rel
30.19	92
31.05	67
31.19	70
32.77	36
33.64	100
36.13	56
37.53	26
53.03	25
54.19	24
61.74	26

Cell and atoms:
Unit cell a=9.1604 b=9.1604 c=9.1604 alpha=96.32 beta=96.32 gamma=141.24
Fractional positions:
Pb 0.0000 0.3591 0.3591
Pb 0.0000 0.6409 0.6409
Pb 0.0627 0.0627 0.5991
Pb 0.1482 0.3400 0.0000
Pb 0.3400 0.1482 0.0000
Pb 0.3591 0.0000 0.3591
Pb 0.4636 0.4636 0.4009
Pb 0.5364 0.9373 0.0000
Pb 0.6409 0.0000 0.6409
Pb 0.6600 0.6600 0.8082
Pb 0.8518 0.8518 0.1918
Pb 0.9373 0.5364 0.0000
Au 0.2060 0.5000 0.7060
Au 0.5000 0.2060 0.7060
Au 0.5000 0.7940 0.2940
Au 0.7940 0.5000 0.2940

---

Copy entry 1 word for word.
Simulated XRD peak list of Zr5CuSb3 for copper Kα, from a structure optimized by DFT (GGA-PBE).
Lines closer than 0.1° are merged.

Top 10 peaks for 5 to 70 degrees two-theta, by angle:
2θ/deg	I_rel
30.59	15
35.25	76
36.01	84
37.14	100
46.43	22
52.69	24
55.81	11
57.43	18
65.48	13
68.23	13

Cell and atoms:
Unit cell a=8.6408 b=8.6408 c=5.8452 alpha=90.00 beta=90.00 gamma=120.00
Fractional positions:
Zr 0.0000 0.2653 0.2500
Zr 0.0000 0.7347 0.7500
Zr 0.2653 0.0000 0.2500
Zr 0.2653 0.2653 0.7500
Zr 0.3333 0.6667 0.0000
Zr 0.3333 0.6667 0.5000
Zr 0.6667 0.3333 0.0000
Zr 0.6667 0.3333 0.5000
Zr 0.7347 0.0000 0.7500
Zr 0.7347 0.7347 0.2500
Cu 0.0000 0.0000 0.0000
Cu 0.0000 0.0000 0.5000
Sb 0.0000 0.3848 0.7500
Sb 0.0000 0.6152 0.2500
Sb 0.3848 0.0000 0.7500
Sb 0.3848 0.3848 0.2500
Sb 0.6152 0.0000 0.2500
Sb 0.6152 0.6152 0.7500